No. 1
For As2S3N2F12, a DFT-relaxed cell (PBE, Alexandria) gives the simulated powder X-ray diffraction pattern in this record (Cu Kα X-rays).
Intensities are scaled so that the largest is 100.

The 6 most intense peaks (2θ = 10–80°), in order of rising 2θ:
2θ/deg  I_rel
20.3  98.3
20.6  95.4
20.8  48.2
21.0  27.9
21.7  23.9
23.4  100.0

Crystal structure
Cell: 7.677 7.677 10.979 Å, 91.43 91.43 67.62°
Fractional positions:
As  0.000  0.000  0.000
As  0.380  0.347  0.750
As  0.653  0.620  0.250
As  0.992  0.008  0.500
S  0.207  0.516  0.245
S  0.408  0.157  0.153
S  0.412  0.170  0.349
S  0.484  0.793  0.755
S  0.830  0.588  0.651
S  0.843  0.592  0.847
N  0.284  0.369  0.134
N  0.289  0.383  0.361
N  0.617  0.711  0.639
N  0.631  0.716  0.866
F  0.066  0.773  0.064
F  0.072  0.796  0.413
F  0.085  0.080  0.133
F  0.097  0.112  0.396
F  0.140  0.355  0.746
F  0.204  0.928  0.587
F  0.227  0.934  0.936
F  0.310  0.524  0.866
F  0.312  0.522  0.638
F  0.438  0.169  0.862
F  0.440  0.169  0.635
F  0.476  0.690  0.134
F  0.478  0.688  0.362
F  0.610  0.347  0.756
F  0.645  0.860  0.254
F  0.653  0.390  0.244
F  0.774  0.066  0.064
F  0.780  0.090  0.413
F  0.831  0.560  0.365
F  0.831  0.562  0.138
F  0.888  0.903  0.604
F  0.910  0.220  0.587
F  0.920  0.915  0.867
F  0.934  0.226  0.936

No. 2
For Ce2TcSn, a DFT-relaxed cell (PBE, Alexandria) gives the simulated powder X-ray diffraction pattern in this record (Cu Kα X-rays).
Intensities are scaled so that the largest is 100.

The 6 most intense peaks (2θ = 10–80°), in order of rising 2θ:
2θ/deg  I_rel
29.5  37.9
35.8  100.0
38.1  64.6
53.3  24.3
64.3  18.1
65.8  25.5

Crystal structure
Cell: 5.019 5.019 8.442 Å, 90.00 90.00 120.00°
Fractional positions:
Ce  0.333  0.667  0.063
Ce  0.333  0.667  0.437
Ce  0.667  0.333  0.563
Ce  0.667  0.333  0.937
Tc  0.333  0.667  0.750
Tc  0.667  0.333  0.250
Sn  0.000  0.000  0.250
Sn  0.000  0.000  0.750

No. 3
For NaCd12Sn6, a DFT-relaxed cell (PBE, Alexandria) gives the simulated powder X-ray diffraction pattern in this record (Cu Kα X-rays).
Intensities are scaled so that the largest is 100.

The 6 most intense peaks (2θ = 10–80°), in order of rising 2θ:
2θ/deg  I_rel
28.8  60.2
30.8  54.8
34.4  100.0
36.2  39.4
38.2  67.1
42.7  59.1

Crystal structure
Cell: 8.491 8.491 8.491 Å, 106.64 106.64 106.64°
Fractional positions:
Na  0.000  0.000  0.000
Cd  0.105  0.500  0.895
Cd  0.105  0.895  0.500
Cd  0.137  0.360  0.360
Cd  0.360  0.137  0.360
Cd  0.360  0.360  0.137
Cd  0.500  0.105  0.895
Cd  0.500  0.895  0.105
Cd  0.640  0.640  0.863
Cd  0.640  0.863  0.640
Cd  0.863  0.640  0.640
Cd  0.895  0.105  0.500
Cd  0.895  0.500  0.105
Sn  0.260  0.694  0.694
Sn  0.306  0.306  0.740
Sn  0.306  0.740  0.306
Sn  0.694  0.260  0.694
Sn  0.694  0.694  0.260
Sn  0.740  0.306  0.306

No. 4
For CaAcTe3, a DFT-relaxed cell (PBE, Alexandria) gives the simulated powder X-ray diffraction pattern in this record (Cu Kα X-rays).
Intensities are scaled so that the largest is 100.

The 6 most intense peaks (2θ = 10–80°), in order of rising 2θ:
2θ/deg  I_rel
24.6  100.0
27.7  36.0
33.5  86.4
33.6  24.2
36.4  27.6
37.2  30.7

Crystal structure
Cell: 4.829 6.740 10.887 Å, 90.00 90.00 90.00°
Fractional positions:
Ca  0.250  0.250  0.083
Ca  0.750  0.750  0.917
Ac  0.250  0.750  0.360
Ac  0.750  0.250  0.640
Te  0.250  0.011  0.825
Te  0.250  0.250  0.433
Te  0.250  0.489  0.825
Te  0.750  0.511  0.175
Te  0.750  0.750  0.567
Te  0.750  0.989  0.175

No. 5
For Sb2Pd9Au, a DFT-relaxed cell (PBE, Alexandria) gives the simulated powder X-ray diffraction pattern in this record (Cu Kα X-rays).
Intensities are scaled so that the largest is 100.

The 6 most intense peaks (2θ = 10–80°), in order of rising 2θ:
2θ/deg  I_rel
22.0  1.9
31.3  1.7
38.6  100.0
44.9  48.6
65.4  30.9
78.6  36.2

Crystal structure
Cell: 4.035 4.035 12.121 Å, 90.00 90.00 90.00°
Fractional positions:
Sb  0.000  0.000  0.176
Sb  0.000  0.000  0.824
Pd  0.000  0.500  0.000
Pd  0.000  0.500  0.332
Pd  0.000  0.500  0.668
Pd  0.500  0.000  0.000
Pd  0.500  0.000  0.332
Pd  0.500  0.000  0.668
Pd  0.500  0.500  0.163
Pd  0.500  0.500  0.500
Pd  0.500  0.500  0.837
Au  0.000  0.000  0.500

No. 6
For LaIn4PbSe8, a DFT-relaxed cell (PBE, Alexandria) gives the simulated powder X-ray diffraction pattern in this record (Cu Kα X-rays).
Intensities are scaled so that the largest is 100.

The 6 most intense peaks (2θ = 10–80°), in order of rising 2θ:
2θ/deg  I_rel
24.0  49.9
24.6  100.0
29.7  82.1
39.0  42.5
41.7  95.9
43.3  98.7

Crystal structure
Cell: 8.673 8.673 8.673 Å, 57.55 57.55 57.55°
Fractional positions:
La  0.000  0.000  0.000
In  0.001  0.001  0.498
In  0.001  0.498  0.001
In  0.498  0.001  0.001
In  0.627  0.627  0.627
Pb  0.371  0.371  0.371
Se  0.228  0.748  0.748
Se  0.231  0.231  0.231
Se  0.248  0.248  0.785
Se  0.248  0.785  0.248
Se  0.748  0.228  0.748
Se  0.748  0.748  0.228
Se  0.764  0.764  0.764
Se  0.785  0.248  0.248

Q: What is the formula in the sixth record?
A: LaIn4PbSe8